Simulated powder X-ray diffraction pattern
Compound: MgV12Zn6O24
Radiation: Cu Kα, 1.54184 Å
Structure: a crystal structure in the Materials Project, relaxed with PBE+U
Intensities are scaled so that the largest is 100.

Structural model:
```
data_MgV12Zn6O24
_chemical_formula_sum 'Mg1 V12 Zn6 O24'
_space_group_name_H-M_alt 'P 1'
_space_group_IT_number 1
_cell_length_a 6.0285
_cell_length_b 6.0390
_cell_length_c 15.3942
_cell_angle_alpha 89.65
_cell_angle_beta 88.80
_cell_angle_gamma 60.23
loop_
_space_group_symop_operation_xyz
'x,y,z'
loop_
_atom_site_label
_atom_site_fract_x
_atom_site_fract_y
_atom_site_fract_z
_atom_site_occupancy
Mg1 0.0000 0.0000 0.0000 1
V1 0.1524 0.1827 0.6658 1
V2 0.1525 0.6731 0.6661 1
V3 0.3101 0.3495 0.8372 1
V4 0.3349 0.8372 0.3423 1
V5 0.4937 0.0043 0.0034 1
V6 0.4949 0.5057 0.0038 1
V7 0.6430 0.1805 0.6658 1
V8 0.8232 0.3468 0.3435 1
V9 0.8241 0.8370 0.3436 1
V10 0.9684 0.0194 0.1580 1
V11 0.9881 0.0080 0.5048 1
V12 0.9973 0.5041 0.9986 1
Zn1 0.3219 0.3419 0.4619 1
Zn2 0.3269 0.3423 0.2152 1
Zn3 0.6432 0.6823 0.7955 1
Zn4 0.6540 0.6750 0.5462 1
Zn5 0.6593 0.6788 0.1724 1
Zn6 0.9796 0.0223 0.8482 1
O1 0.0033 0.0034 0.2824 1
O2 0.0066 0.4924 0.7475 1
O3 0.1399 0.1638 0.4218 1
O4 0.1419 0.7030 0.4225 1
O5 0.1687 0.1660 0.9220 1
O6 0.1730 0.6702 0.9225 1
O7 0.2936 0.8614 0.5909 1
O8 0.3195 0.8443 0.0790 1
O9 0.3232 0.3419 0.5953 1
O10 0.3376 0.3319 0.0743 1
O11 0.4570 0.5075 0.7478 1
O12 0.4698 0.0448 0.7490 1
O13 0.5115 0.9841 0.2626 1
O14 0.5132 0.5144 0.2619 1
O15 0.6502 0.6796 0.9297 1
O16 0.6540 0.6754 0.4151 1
O17 0.6555 0.1741 0.9236 1
O18 0.6832 0.1600 0.4205 1
O19 0.8201 0.3413 0.0743 1
O20 0.8222 0.8391 0.0758 1
O21 0.8299 0.3142 0.5881 1
O22 0.8395 0.8483 0.5900 1
O23 0.9701 0.5212 0.2627 1
O24 0.9768 0.0154 0.7293 1
```

Principal peaks in the range 2θ from 10° to 90°, most intense first:
- 2.593 Å, 2θ 34.6, intensity 100, hkl -1 1 3
- 2.623 Å, 2θ 34.2, intensity 97, hkl 2 1 3
- 3.023 Å, 2θ 29.5, intensity 88, hkl 1 2 0
- 2.585 Å, 2θ 34.7, intensity 85, hkl 0 2 1
- 2.566 Å, 2θ 35.0, intensity 60, hkl 2 2 -1
- 2.575 Å, 2θ 34.8, intensity 49, hkl 2 1 -3
- 2.609 Å, 2θ 34.4, intensity 48, hkl 1 2 3
- 3.014 Å, 2θ 29.6, intensity 44, hkl 2 1 0
- 1.510 Å, 2θ 61.4, intensity 43, hkl 2 4 0
- 1.513 Å, 2θ 61.2, intensity 43, hkl 2 -2 0
- 1.507 Å, 2θ 61.5, intensity 42, hkl 4 2 0
- 2.676 Å, 2θ 33.5, intensity 41, hkl 1 0 5